No. 1
# ZrNpO4
Calculated powder X-ray diffraction pattern, CuKα. Input: a PBE-relaxed structure.

```
data_ZrNpO4
_cell_length_a 5.3535
_cell_length_b 5.3535
_cell_length_c 5.2912
_cell_angle_alpha 90.00
_cell_angle_beta 90.00
_cell_angle_gamma 90.00
_space_group_name_H-M_alt 'P -4 b 2'
_space_group_IT_number 117
loop_
_space_group_symop_operation_xyz
'x,y,z'
'y,-x,-z'
'-x,-y,z'
'-y,x,-z'
'-x+1/2,y+1/2,z'
'-y+1/2,-x+1/2,-z'
'x+1/2,-y+1/2,z'
'y+1/2,x+1/2,-z'
loop_
_atom_site_label
_atom_site_fract_x
_atom_site_fract_y
_atom_site_fract_z
_atom_site_occupancy
Zr1 0.0000 0.0000 0.0000 1
Np1 0.0000 0.5000 0.5000 1
O1 0.2149 0.2168 0.7538 1
```

Most intense lines, 10° ≤ 2θ ≤ 90°, by intensity:
d_spacing, 2θ/deg, I/Imax, index
3.079, 29.0, 1000, 1 1 1
1.882, 48.4, 336, 2 0 2
1.612, 57.1, 303, 3 1 1
2.677, 33.5, 226, 2 0 0
1.893, 48.1, 167, 2 2 0
5.291, 16.8, 150, 0 0 1
1.599, 57.7, 147, 1 1 3
3.785, 23.5, 137, 1 1 0
1.221, 78.3, 122, 3 1 3
1.091, 90.0, 105, 4 2 2

No. 2
# CsPa2Zn2O7
Calculated powder X-ray diffraction pattern, CuKα. Input: a PBE-relaxed structure.

```
data_CsPa2Zn2O7
_cell_length_a 4.3199
_cell_length_b 4.4669
_cell_length_c 19.6248
_cell_angle_alpha 90.00
_cell_angle_beta 90.00
_cell_angle_gamma 90.00
_space_group_name_H-M_alt 'I m m m'
_space_group_IT_number 71
_space_group_name_Hall '-I 2 2'
loop_
_atom_site_label
_atom_site_fract_x
_atom_site_fract_y
_atom_site_fract_z
_atom_site_occupancy
Cs1 0.0000 0.0000 0.0000 1
Pa1 0.0000 0.0000 0.3857 1
Zn1 0.0000 0.5000 0.2633 1
O1 0.0000 0.0000 0.2679 1
O2 0.0000 0.0000 0.5000 1
O3 0.0000 0.5000 0.1139 1
O4 0.0000 0.5000 0.3730 1
```

Most intense lines, 10° ≤ 2θ ≤ 90°, by intensity:
d_spacing, 2θ/deg, I/Imax, index
2.948, 30.3, 1000, 0 1 5
3.605, 24.7, 899, 1 0 3
3.105, 28.7, 625, 1 1 0
2.961, 30.2, 614, 1 1 2
3.689, 24.1, 600, 0 1 3
2.905, 30.8, 561, 1 0 5
2.233, 40.4, 505, 0 2 0
2.453, 36.6, 500, 0 0 8
2.624, 34.2, 490, 1 1 4
2.160, 41.8, 456, 2 0 0

No. 3
# Er2CdSn2
Calculated powder X-ray diffraction pattern, CuKα. Input: a PBE-relaxed structure.

```
data_Er2CdSn2
_cell_length_a 11.6263
_cell_length_b 4.5634
_cell_length_c 10.7333
_cell_angle_alpha 90.00
_cell_angle_beta 113.80
_cell_angle_gamma 90.00
_space_group_name_H-M_alt 'C 1 2/m 1'
_space_group_IT_number 12
loop_
_space_group_symop_operation_xyz
'x,y,z'
'-x,-y,-z'
'-x,y,-z'
'x,-y,z'
'x+1/2,y+1/2,z'
'-x+1/2,-y+1/2,-z'
'-x+1/2,y+1/2,-z'
'x+1/2,-y+1/2,z'
loop_
_atom_site_label
_atom_site_fract_x
_atom_site_fract_y
_atom_site_fract_z
_atom_site_occupancy
Er1 0.0015 0.0000 0.1737 1
Er2 0.1784 0.0000 0.6006 1
Cd1 0.2016 0.5000 0.8236 1
Sn1 0.0506 0.5000 0.3928 1
Sn2 0.1422 0.5000 0.0710 1
```

Most intense lines, 10° ≤ 2θ ≤ 90°, by intensity:
d_spacing, 2θ/deg, I/Imax, index
2.806, 31.9, 1000, 1 1 -3
2.492, 36.0, 853, 3 1 1
2.282, 39.5, 593, 0 2 0
2.570, 34.9, 561, 3 1 -3
2.875, 31.1, 518, 4 0 -2
2.965, 30.1, 513, 1 1 2
2.952, 30.3, 381, 3 1 -1
1.399, 66.9, 277, 1 3 -3
1.787, 51.1, 263, 4 2 -2
2.455, 36.6, 193, 0 0 4

No. 4
# AcNd2Y6Er
Calculated powder X-ray diffraction pattern, CuKα. Input: a PBE-relaxed structure.

```
data_AcNd2Y6Er
_cell_length_a 7.5167
_cell_length_b 9.5904
_cell_length_c 12.1802
_cell_angle_alpha 90.00
_cell_angle_beta 128.08
_cell_angle_gamma 90.00
_space_group_name_H-M_alt 'P 1 21/c 1'
_space_group_IT_number 14
loop_
_space_group_symop_operation_xyz
'x,y,z'
'-x,-y,-z'
'-x,y+1/2,-z+1/2'
'x,-y+1/2,z+1/2'
loop_
_atom_site_label
_atom_site_fract_x
_atom_site_fract_y
_atom_site_fract_z
_atom_site_occupancy
Ac1 0.0000 0.0000 0.0000 1
Nd1 0.0769 0.1740 0.3274 1
Y1 0.1293 0.1176 0.6304 1
Y2 0.3825 0.6300 0.8820 1
Y3 0.4244 0.6728 0.1739 1
Er1 0.5000 0.0000 0.0000 1
```

Most intense lines, 10° ≤ 2θ ≤ 90°, by intensity:
d_spacing, 2θ/deg, I/Imax, index
3.032, 29.5, 1000, 0 1 3
2.826, 31.7, 971, 2 1 -4
2.958, 30.2, 665, 2 0 0
1.597, 57.7, 384, 0 0 6
3.390, 26.3, 314, 0 2 2
1.682, 54.6, 298, 2 5 -1
1.880, 48.4, 228, 4 0 -4
1.937, 46.9, 212, 2 3 1
2.360, 38.1, 200, 2 3 -1
3.287, 27.1, 182, 2 1 -3